Starting from a crystal structure in Alexandria, relaxed with GGA+U, the powder XRD pattern of KMnH3C3O6 was computed for a wavelength of 1.5418 Å.
Lines closer than 0.1° are merged.

Structure:
```
data_KMnH3C3O6
_chemical_formula_sum 'K4 Mn4 H12 C12 O24'
_cell_length_a 11.093
_cell_length_b 9.255
_cell_length_c 7.192
_cell_angle_alpha 90.00
_cell_angle_beta 95.04
_cell_angle_gamma 90.00
_symmetry_space_group_name_H-M 'C 1 2/c 1'
_symmetry_Int_Tables_number 15
loop_
_symmetry_equiv_pos_as_xyz
'x,y,z'
'-x,-y,-z'
'-x,y,-z+1/2'
'x,-y,z+1/2'
'x+1/2,y+1/2,z'
'-x+1/2,-y+1/2,-z'
'-x+1/2,y+1/2,-z+1/2'
'x+1/2,-y+1/2,z+1/2'
loop_
_atom_site_label
_atom_site_fract_x
_atom_site_fract_y
_atom_site_fract_z
_atom_site_occupancy
K1 0.000 0.104 0.250 1
Mn1 0.250 0.250 0.000 1
H1 0.000 0.370 0.750 1
H2 0.123 0.439 0.476 1
C1 0.000 0.250 0.750 1
C2 0.181 0.439 0.357 1
O1 0.065 0.187 0.880 1
O2 0.167 0.333 0.246 1
O3 0.247 0.044 0.155 1
```

Most intense lines, 10° ≤ 2θ ≤ 90°, most intense first:
| 2θ/deg | I (rel.) |
| --- | --- |
| 18.1 | 100 |
| 32.4 | 88 |
| 17.1 | 65 |
| 28.5 | 64 |
| 26.0 | 41 |
| 34.7 | 30 |
| 39.1 | 28 |
| 29.8 | 26 |
| 41.0 | 25 |
| 16.0 | 25 |